Record 1
# Er2NiOs
Computed powder diffractogram, a wavelength of 1.5418 Å. Input: a structure optimized by DFT (GGA-PBE).
Neutral-atom scattering factors, no anomalous dispersion.

Main lines, sorted by position (10° ≤ 2θ ≤ 90°):
d = 3.883 Å, 2θ = 22.91°, I 10; d = 3.362 Å, 2θ = 26.51°, I 2; d = 2.378 Å, 2θ = 37.84°, I 100; d = 2.028 Å, 2θ = 44.69°, I 6; d = 1.681 Å, 2θ = 54.59°, I 17; d = 1.543 Å, 2θ = 59.96°, I 2; d = 1.373 Å, 2θ = 68.34°, I 35; d = 1.189 Å, 2θ = 80.86°, I 11

Structure:
Cell lengths 4.7551, 4.7551, 4.7551 Å; angles 60.00, 60.00, 60.00 degrees
Positions (direct):
Er  0.2500  0.2500  0.2500
Er  0.7500  0.7500  0.7500
Ni  0.0000  0.0000  0.0000
Os  0.5000  0.5000  0.5000

=====

Record 2
# ErNi4P2
Computed powder diffractogram, a wavelength of 1.5418 Å. Input: a structure optimized by DFT (GGA-PBE).
Neutral-atom scattering factors, no anomalous dispersion.

Main lines, sorted by position (10° ≤ 2θ ≤ 90°):
d = 3.207 Å, 2θ = 27.81°, I 20; d = 2.373 Å, 2θ = 37.91°, I 100; d = 2.232 Å, 2θ = 40.42°, I 47; d = 2.051 Å, 2θ = 44.16°, I 22; d = 1.897 Å, 2θ = 47.96°, I 20; d = 1.800 Å, 2θ = 50.70°, I 19; d = 1.401 Å, 2θ = 66.76°, I 20; d = 1.314 Å, 2θ = 71.84°, I 23

Structure:
Cell lengths 7.0568, 7.0568, 3.6010 Å; angles 90.00, 90.00, 90.00 degrees
Positions (direct):
Er  0.0000  0.0000  0.0000
Er  0.5000  0.5000  0.5000
Ni  0.0862  0.3370  0.5000
Ni  0.1630  0.5862  0.0000
Ni  0.3370  0.0862  0.5000
Ni  0.4138  0.8370  0.0000
Ni  0.5862  0.1630  0.0000
Ni  0.6630  0.9138  0.5000
Ni  0.8370  0.4138  0.0000
Ni  0.9138  0.6630  0.5000
P  0.2192  0.7808  0.5000
P  0.2808  0.2808  0.0000
P  0.7192  0.7192  0.0000
P  0.7808  0.2192  0.5000

=====

Record 3
# ErNi2P2
Computed powder diffractogram, a wavelength of 1.5418 Å. Input: a structure optimized by DFT (GGA-PBE).
Neutral-atom scattering factors, no anomalous dispersion.

Main lines, sorted by position (10° ≤ 2θ ≤ 90°):
d = 3.563 Å, 2θ = 24.99°, I 48; d = 2.423 Å, 2θ = 37.11°, I 52; d = 2.354 Å, 2θ = 38.23°, I 100; d = 1.927 Å, 2θ = 47.17°, I 39; d = 1.682 Å, 2θ = 54.57°, I 18; d = 1.508 Å, 2θ = 61.49°, I 23; d = 1.352 Å, 2θ = 69.51°, I 15; d = 1.179 Å, 2θ = 81.65°, I 21

Structure:
Cell lengths 5.4093, 5.4093, 5.4093 Å; angles 138.26, 138.26, 60.50 degrees
Positions (direct):
Er  0.0000  0.0000  0.0000
Ni  0.2500  0.7500  0.5000
Ni  0.7500  0.2500  0.5000
P  0.3780  0.3780  0.0000
P  0.6220  0.6220  0.0000

=====

Record 4
# Er5NiPb3
Computed powder diffractogram, a wavelength of 1.5418 Å. Input: a structure optimized by DFT (GGA-PBE).
Neutral-atom scattering factors, no anomalous dispersion.

Main lines, sorted by position (10° ≤ 2θ ≤ 90°):
d = 3.323 Å, 2θ = 26.83°, I 19; d = 2.979 Å, 2θ = 29.99°, I 18; d = 2.719 Å, 2θ = 32.94°, I 100; d = 2.684 Å, 2θ = 33.38°, I 81; d = 2.628 Å, 2θ = 34.12°, I 40; d = 2.077 Å, 2θ = 43.58°, I 18; d = 1.778 Å, 2θ = 51.39°, I 29; d = 1.424 Å, 2θ = 65.53°, I 19

Structure:
Cell lengths 9.1022, 9.1022, 6.6469 Å; angles 90.00, 90.00, 120.00 degrees
Positions (direct):
Er  0.0000  0.2375  0.2500
Er  0.0000  0.7625  0.7500
Er  0.2375  0.0000  0.2500
Er  0.2375  0.2375  0.7500
Er  0.3333  0.6667  0.0000
Er  0.3333  0.6667  0.5000
Er  0.6667  0.3333  0.0000
Er  0.6667  0.3333  0.5000
Er  0.7625  0.0000  0.7500
Er  0.7625  0.7625  0.2500
Ni  0.0000  0.0000  0.0000
Ni  0.0000  0.0000  0.5000
Pb  0.0000  0.3993  0.7500
Pb  0.0000  0.6007  0.2500
Pb  0.3993  0.0000  0.7500
Pb  0.3993  0.3993  0.2500
Pb  0.6007  0.0000  0.2500
Pb  0.6007  0.6007  0.7500

=====

Record 5
# Er2NiRu
Computed powder diffractogram, a wavelength of 1.5418 Å. Input: a structure optimized by DFT (GGA-PBE).
Neutral-atom scattering factors, no anomalous dispersion.

Main lines, sorted by position (10° ≤ 2θ ≤ 90°):
d = 3.363 Å, 2θ = 26.51°, I 13; d = 2.378 Å, 2θ = 37.84°, I 100; d = 1.942 Å, 2θ = 46.79°, I 4; d = 1.681 Å, 2θ = 54.58°, I 17; d = 1.504 Å, 2θ = 61.68°, I 5; d = 1.373 Å, 2θ = 68.33°, I 35; d = 1.189 Å, 2θ = 80.84°, I 11; d = 1.121 Å, 2θ = 86.90°, I 3

Structure:
Cell lengths 4.7557, 4.7557, 4.7557 Å; angles 60.00, 60.00, 60.00 degrees
Positions (direct):
Er  0.2500  0.2500  0.2500
Er  0.7500  0.7500  0.7500
Ni  0.0000  0.0000  0.0000
Ru  0.5000  0.5000  0.5000

=====

Record 6
# Er5Ni2Sb
Computed powder diffractogram, a wavelength of 1.5418 Å. Input: a structure optimized by DFT (GGA-PBE).
Neutral-atom scattering factors, no anomalous dispersion.

Main lines, sorted by position (10° ≤ 2θ ≤ 90°):
d = 3.271 Å, 2θ = 27.27°, I 34; d = 2.835 Å, 2θ = 31.56°, I 35; d = 2.691 Å, 2θ = 33.30°, I 100; d = 2.503 Å, 2θ = 35.88°, I 45; d = 2.385 Å, 2θ = 37.72°, I 65; d = 2.097 Å, 2θ = 43.14°, I 15; d = 1.570 Å, 2θ = 58.82°, I 25; d = 1.370 Å, 2θ = 68.50°, I 19

Structure:
Cell lengths 8.5583, 8.5583, 8.5583 Å; angles 127.71, 127.71, 77.09 degrees
Positions (direct):
Er  0.0000  0.0000  0.0000
Er  0.0220  0.5220  0.8181
Er  0.2038  0.0220  0.5000
Er  0.2962  0.7962  0.8181
Er  0.4780  0.2962  0.5000
Er  0.5000  0.5000  0.0000
Er  0.5220  0.7038  0.5000
Er  0.7038  0.2038  0.1819
Er  0.7962  0.9780  0.5000
Er  0.9780  0.4780  0.1819
Ni  0.1264  0.3736  0.5000
Ni  0.3736  0.8736  0.2472
Ni  0.6264  0.1264  0.7528
Ni  0.8736  0.6264  0.5000
Sb  0.2500  0.2500  0.0000
Sb  0.7500  0.7500  0.0000

=====

Record 7
# Er10NiSb5
Computed powder diffractogram, a wavelength of 1.5418 Å. Input: a structure optimized by DFT (GGA-PBE).
Neutral-atom scattering factors, no anomalous dispersion.

Main lines, sorted by position (10° ≤ 2θ ≤ 90°):
d = 2.899 Å, 2θ = 30.84°, I 91; d = 2.790 Å, 2θ = 32.08°, I 100; d = 2.763 Å, 2θ = 32.40°, I 63; d = 2.668 Å, 2θ = 33.59°, I 71; d = 2.568 Å, 2θ = 34.94°, I 47; d = 2.480 Å, 2θ = 36.22°, I 31; d = 2.291 Å, 2θ = 39.32°, I 38; d = 1.764 Å, 2θ = 51.83°, I 24

Structure:
Cell lengths 9.1658, 7.8957, 11.7963 Å; angles 90.00, 90.00, 90.00 degrees
Positions (direct):
Er  0.0000  0.0744  0.0000
Er  0.0000  0.2317  0.2795
Er  0.0000  0.4073  0.5600
Er  0.0000  0.5927  0.0600
Er  0.0000  0.7683  0.7795
Er  0.0000  0.9256  0.5000
Er  0.2198  0.4336  0.8400
Er  0.2198  0.5664  0.3400
Er  0.3173  0.0690  0.7100
Er  0.3173  0.9310  0.2100
Er  0.5000  0.1186  0.9723
Er  0.5000  0.2952  0.2746
Er  0.5000  0.4116  0.5680
Er  0.5000  0.5884  0.0680
Er  0.5000  0.7048  0.7746
Er  0.5000  0.8814  0.4723
Er  0.6827  0.0690  0.7100
Er  0.6827  0.9310  0.2100
Er  0.7802  0.4336  0.8400
Er  0.7802  0.5664  0.3400
Ni  0.5000  0.3361  0.7904
Ni  0.5000  0.6639  0.2904
Sb  0.0000  0.1569  0.7489
Sb  0.0000  0.8431  0.2489
Sb  0.2407  0.3148  0.1016
Sb  0.2407  0.6852  0.6016
Sb  0.2578  0.1822  0.4483
Sb  0.2578  0.8178  0.9483
Sb  0.7422  0.1822  0.4483
Sb  0.7422  0.8178  0.9483
Sb  0.7593  0.3148  0.1016
Sb  0.7593  0.6852  0.6016